(1)
# Nb8AlH6
Calculated powder diffraction line list, a wavelength of 1.5418 Å. Input: DFT lattice parameters and positions (PBE).
Peak positions follow from Bragg's law for the DFT cell and can differ from measured ones.

```
data_Nb8AlH6
_chemical_formula_sum 'Nb8 Al1 H6'
_cell_length_a 5.6751
_cell_length_b 5.6751
_cell_length_c 5.6751
_cell_angle_alpha 95.29
_cell_angle_beta 95.29
_cell_angle_gamma 95.29
_symmetry_space_group_name_H-M 'P 1'
_symmetry_Int_Tables_number 1
_symmetry_space_group_name_Hall 'P 1'
loop_
_atom_site_label
_atom_site_type_symbol
_atom_site_fract_x
_atom_site_fract_y
_atom_site_fract_z
Nb1 Nb 0.0527 0.7166 0.4007
Nb2 Nb 0.1763 0.1763 0.1763
Nb3 Nb 0.2834 0.5993 0.9473
Nb4 Nb 0.4007 0.0527 0.7166
Nb5 Nb 0.5993 0.9473 0.2834
Nb6 Nb 0.7166 0.4007 0.0527
Nb7 Nb 0.8237 0.8237 0.8237
Nb8 Nb 0.9473 0.2834 0.5993
Al1 Al 0.5000 0.5000 0.5000
H1 H 0.0256 0.3406 0.9345
H2 H 0.0655 0.9744 0.6594
H3 H 0.3406 0.9345 0.0256
H4 H 0.6594 0.0655 0.9744
H5 H 0.9345 0.0256 0.3406
H6 H 0.9744 0.6594 0.0655
```

Principal peaks in the range 2θ = 10–90°, low angle first:
37.2 deg, I = 100; 53.6 deg, I = 17; 67.0 deg, I = 25; 67.1 deg, I = 8; 79.1 deg, I = 5; 79.2 deg, I = 5


(2)
# Nb2AlHOs
Calculated powder diffraction line list, a wavelength of 1.5418 Å. Input: DFT lattice parameters and positions (PBE).
Peak positions follow from Bragg's law for the DFT cell and can differ from measured ones.

```
data_Nb2AlHOs
_chemical_formula_sum 'Nb2 Al1 H1 Os1'
_cell_length_a 4.1301
_cell_length_b 4.1301
_cell_length_c 3.9838
_cell_angle_alpha 90.00
_cell_angle_beta 90.00
_cell_angle_gamma 90.00
_symmetry_space_group_name_H-M 'P 1'
_symmetry_Int_Tables_number 1
_symmetry_space_group_name_Hall 'P 1'
loop_
_atom_site_label
_atom_site_type_symbol
_atom_site_fract_x
_atom_site_fract_y
_atom_site_fract_z
Nb1 Nb 0.0000 0.5000 0.0000
Nb2 Nb 0.5000 0.0000 0.0000
Al1 Al 0.0000 0.0000 0.5000
H1 H 0.5000 0.5000 0.0000
Os1 Os 0.5000 0.5000 0.5000
```

Principal peaks in the range 2θ = 10–90°, low angle first:
21.5 deg, I = 34; 31.2 deg, I = 26; 38.2 deg, I = 100; 43.8 deg, I = 34; 65.1 deg, I = 21; 76.8 deg, I = 26


(3)
# NdAlH6
Calculated powder diffraction line list, a wavelength of 1.5418 Å. Input: DFT lattice parameters and positions (PBE).
Peak positions follow from Bragg's law for the DFT cell and can differ from measured ones.

```
data_NdAlH6
_chemical_formula_sum 'Nd1 Al1 H6'
_cell_length_a 4.2205
_cell_length_b 4.2205
_cell_length_c 4.2205
_cell_angle_alpha 98.33
_cell_angle_beta 98.33
_cell_angle_gamma 98.33
_symmetry_space_group_name_H-M 'P 1'
_symmetry_Int_Tables_number 1
_symmetry_space_group_name_Hall 'P 1'
loop_
_atom_site_label
_atom_site_type_symbol
_atom_site_fract_x
_atom_site_fract_y
_atom_site_fract_z
Nd1 Nd 0.0000 0.0000 0.0000
Al1 Al 0.5000 0.5000 0.5000
H1 H 0.2014 0.2014 0.5617
H2 H 0.2014 0.5617 0.2014
H3 H 0.4383 0.7986 0.7986
H4 H 0.5617 0.2014 0.2014
H5 H 0.7986 0.4383 0.7986
H6 H 0.7986 0.7986 0.4383
```

Principal peaks in the range 2θ = 10–90°, low angle first:
21.6 deg, I = 85; 27.9 deg, I = 100; 33.3 deg, I = 62; 44.0 deg, I = 34; 45.8 deg, I = 26; 53.0 deg, I = 51


(4)
# Al2Ni8H
Calculated powder diffraction line list, a wavelength of 1.5418 Å. Input: DFT lattice parameters and positions (PBE).
Peak positions follow from Bragg's law for the DFT cell and can differ from measured ones.

```
data_Al2Ni8H
_chemical_formula_sum 'Al2 Ni8 H1'
_cell_length_a 6.8120
_cell_length_b 6.8120
_cell_length_c 6.8120
_cell_angle_alpha 137.34
_cell_angle_beta 54.85
_cell_angle_gamma 147.18
_symmetry_space_group_name_H-M 'P 1'
_symmetry_Int_Tables_number 1
_symmetry_space_group_name_Hall 'P 1'
loop_
_atom_site_label
_atom_site_type_symbol
_atom_site_fract_x
_atom_site_fract_y
_atom_site_fract_z
Al1 Al 0.1957 0.0000 0.1957
Al2 Al 0.8043 0.0000 0.8043
Ni1 Ni 0.0002 0.0002 0.0000
Ni2 Ni 0.0002 0.5002 0.5000
Ni3 Ni 0.1972 0.5000 0.6973
Ni4 Ni 0.3940 0.2533 0.6472
Ni5 Ni 0.3940 0.7468 0.1407
Ni6 Ni 0.6061 0.2533 0.8593
Ni7 Ni 0.6061 0.7468 0.3528
Ni8 Ni 0.8027 0.5000 0.3027
H1 H 0.5026 0.0026 0.5000
```

Principal peaks in the range 2θ = 10–90°, low angle first:
44.1 deg, I = 97; 44.2 deg, I = 100; 47.2 deg, I = 42; 47.4 deg, I = 41; 69.2 deg, I = 24; 85.7 deg, I = 25


(5)
# PuAlNi2H8
Calculated powder diffraction line list, a wavelength of 1.5418 Å. Input: DFT lattice parameters and positions (PBE).
Peak positions follow from Bragg's law for the DFT cell and can differ from measured ones.

```
data_PuAlNi2H8
_chemical_formula_sum 'Pu1 Al1 Ni2 H8'
_cell_length_a 6.3351
_cell_length_b 6.3351
_cell_length_c 6.3351
_cell_angle_alpha 40.34
_cell_angle_beta 40.34
_cell_angle_gamma 40.34
_symmetry_space_group_name_H-M 'P 1'
_symmetry_Int_Tables_number 1
_symmetry_space_group_name_Hall 'P 1'
loop_
_atom_site_label
_atom_site_type_symbol
_atom_site_fract_x
_atom_site_fract_y
_atom_site_fract_z
Pu1 Pu 0.0000 0.0000 0.0000
Al1 Al 0.5000 0.5000 0.5000
Ni1 Ni 0.2272 0.2272 0.2272
Ni2 Ni 0.7728 0.7728 0.7728
H1 H 0.1281 0.7787 0.4051
H2 H 0.2213 0.5949 0.8719
H3 H 0.3175 0.3175 0.3175
H4 H 0.4051 0.1281 0.7787
H5 H 0.5949 0.8719 0.2213
H6 H 0.6825 0.6825 0.6825
H7 H 0.7787 0.4051 0.1281
H8 H 0.8719 0.2213 0.5949
```

Principal peaks in the range 2θ = 10–90°, low angle first:
15.2 deg, I = 28; 24.1 deg, I = 69; 31.3 deg, I = 100; 35.0 deg, I = 46; 41.3 deg, I = 52; 52.7 deg, I = 23


(6)
# SmAlNi2H
Calculated powder diffraction line list, a wavelength of 1.5418 Å. Input: DFT lattice parameters and positions (PBE).
Peak positions follow from Bragg's law for the DFT cell and can differ from measured ones.

```
data_SmAlNi2H
_chemical_formula_sum 'Sm2 Al2 Ni4 H2'
_cell_length_a 5.6005
_cell_length_b 5.6005
_cell_length_c 6.9522
_cell_angle_alpha 90.00
_cell_angle_beta 90.00
_cell_angle_gamma 140.53
_symmetry_space_group_name_H-M 'P 1'
_symmetry_Int_Tables_number 1
_symmetry_space_group_name_Hall 'P 1'
loop_
_atom_site_label
_atom_site_type_symbol
_atom_site_fract_x
_atom_site_fract_y
_atom_site_fract_z
Sm1 Sm 0.0634 0.9366 0.7500
Sm2 Sm 0.9366 0.0634 0.2500
Al1 Al 0.2186 0.7814 0.2500
Al2 Al 0.7814 0.2186 0.7500
Ni1 Ni 0.3411 0.6589 0.5565
Ni2 Ni 0.3411 0.6589 0.9435
Ni3 Ni 0.6589 0.3411 0.0565
Ni4 Ni 0.6589 0.3411 0.4435
H1 H 0.5000 0.5000 0.0000
H2 H 0.5000 0.5000 0.5000
```

Principal peaks in the range 2θ = 10–90°, low angle first:
30.8 deg, I = 27; 34.8 deg, I = 40; 36.1 deg, I = 100; 36.5 deg, I = 51; 37.2 deg, I = 66; 42.6 deg, I = 32


(7)
# Zr3Al3Ni3H2
Calculated powder diffraction line list, a wavelength of 1.5418 Å. Input: DFT lattice parameters and positions (PBE).
Peak positions follow from Bragg's law for the DFT cell and can differ from measured ones.

```
data_Zr3Al3Ni3H2
_chemical_formula_sum 'Zr3 Al3 Ni3 H2'
_cell_length_a 6.8637
_cell_length_b 6.8637
_cell_length_c 3.6539
_cell_angle_alpha 90.00
_cell_angle_beta 90.00
_cell_angle_gamma 120.00
_symmetry_space_group_name_H-M 'P 1'
_symmetry_Int_Tables_number 1
_symmetry_space_group_name_Hall 'P 1'
loop_
_atom_site_label
_atom_site_type_symbol
_atom_site_fract_x
_atom_site_fract_y
_atom_site_fract_z
Zr1 Zr 0.0000 0.5947 0.0000
Zr2 Zr 0.4053 0.4053 0.0000
Zr3 Zr 0.5947 0.0000 0.0000
Al1 Al 0.0000 0.2485 0.5000
Al2 Al 0.2485 0.0000 0.5000
Al3 Al 0.7515 0.7515 0.5000
Ni1 Ni 0.0000 0.0000 0.0000
Ni2 Ni 0.3333 0.6667 0.5000
Ni3 Ni 0.6667 0.3333 0.5000
H1 H 0.3333 0.6667 0.0000
H2 H 0.6667 0.3333 0.0000
```

Principal peaks in the range 2θ = 10–90°, low angle first:
26.0 deg, I = 30; 35.9 deg, I = 100; 39.1 deg, I = 95; 40.1 deg, I = 30; 45.8 deg, I = 37; 74.2 deg, I = 25


(8)
# AlH3O3
Calculated powder diffraction line list, a wavelength of 1.5418 Å. Input: DFT lattice parameters and positions (PBE).
Peak positions follow from Bragg's law for the DFT cell and can differ from measured ones.

```
data_AlH3O3
_chemical_formula_sum 'Al4 H12 O12'
_cell_length_a 5.0129
_cell_length_b 6.6816
_cell_length_c 6.7307
_cell_angle_alpha 83.38
_cell_angle_beta 76.83
_cell_angle_gamma 76.13
_symmetry_space_group_name_H-M 'P 1'
_symmetry_Int_Tables_number 1
_symmetry_space_group_name_Hall 'P 1'
loop_
_atom_site_label
_atom_site_type_symbol
_atom_site_fract_x
_atom_site_fract_y
_atom_site_fract_z
Al1 Al 0.0000 0.0000 0.0000
Al2 Al 0.0975 0.6684 0.3188
Al3 Al 0.4971 0.1757 0.8203
Al4 Al 0.5995 0.4959 0.4905
H1 H 0.1555 0.4944 0.7110
H2 H 0.2878 0.1432 0.1985
H3 H 0.2880 0.6386 0.9394
H4 H 0.2893 0.9487 0.6382
H5 H 0.4835 0.3695 0.2108
H6 H 0.4909 0.8423 0.3506
H7 H 0.6165 0.8234 0.9704
H8 H 0.7943 0.3806 0.9244
H9 H 0.8041 0.7276 0.6801
H10 H 0.8053 0.0355 0.3792
H11 H 0.9473 0.1821 0.5966
H12 H 0.9675 0.3958 0.1801
O1 O 0.2241 0.1625 0.0703
O2 O 0.2318 0.0600 0.7355
O3 O 0.2543 0.7429 0.0415
O4 O 0.3436 0.4594 0.7466
O5 O 0.3559 0.7689 0.4421
O6 O 0.3647 0.4144 0.3434
O7 O 0.7240 0.2568 0.9747
O8 O 0.7381 0.9085 0.8812
O9 O 0.7572 0.2122 0.5655
O10 O 0.8432 0.9299 0.2773
O11 O 0.8584 0.5242 0.2432
O12 O 0.8647 0.6117 0.5885
```

Principal peaks in the range 2θ = 10–90°, low angle first:
18.7 deg, I = 100; 19.9 deg, I = 25; 20.6 deg, I = 41; 38.2 deg, I = 27; 38.7 deg, I = 30; 44.6 deg, I = 30